This entry pairs a crystal structure of Pr5Sc4Au4 with its calculated PXRD pattern. Radiation: Cu Kα. Structure: the GGA-PBE geometry in Alexandria.
Peak positions follow from Bragg's law for the DFT cell and can differ from measured ones.

The 8 most intense peaks (2θ from 10° to 90°), low angle first:
- d = 4.755 Å, I 23
- d = 2.912 Å, I 43
- d = 2.672 Å, I 100
- d = 2.638 Å, I 56
- d = 2.483 Å, I 53
- d = 2.306 Å, I 26
- d = 1.915 Å, I 24
- d = 1.529 Å, I 32

a = 9.7006 Å, b = 9.7006 Å, c = 9.7006 Å
α = 92.23°, β = 92.23°, γ = 157.23°
Element x y z (fractional)
Pr 0.0000 0.0000 0.0000
Pr 0.2882 0.3575 0.6456
Pr 0.3575 0.7118 0.0693
Pr 0.6425 0.2882 0.9307
Pr 0.7118 0.6425 0.3544
Sc 0.1164 0.5737 0.6901
Sc 0.4263 0.1164 0.5428
Sc 0.5737 0.8836 0.4572
Sc 0.8836 0.4263 0.3099
Au 0.0457 0.2382 0.2839
Au 0.2382 0.9543 0.1925
Au 0.7618 0.0457 0.8075
Au 0.9543 0.7618 0.7161